Record 1
The following is a computed powder diffraction line list of Sr6MgTe8O22. It was derived from a DFT-relaxed cell (PBE, the Materials Project), using Cu Kα X-rays.

Structure:
Cell lengths 7.682, 9.483, 9.608 Å; angles 99.04, 99.08, 106.25 degrees
Space group P1 (No. 1)
Inequivalent atoms, fractional coordinates:
Sr 0.000 0.000 0.000 [1 per cell]
Sr 0.020 0.555 0.514 [1 per cell]
Sr 0.172 0.980 0.603 [1 per cell]
Sr 0.427 0.342 0.456 [1 per cell]
Sr 0.571 0.274 0.080 [1 per cell]
Sr 0.615 0.777 0.577 [1 per cell]
Mg 0.005 0.346 0.157 [1 per cell]
Te 0.305 0.425 0.788 [1 per cell]
Te 0.346 0.547 0.156 [1 per cell]
Te 0.349 0.892 0.305 [1 per cell]
Te 0.374 0.854 0.886 [1 per cell]
Te 0.805 0.201 0.742 [1 per cell]
Te 0.809 0.598 0.836 [1 per cell]
Te 0.816 0.698 0.236 [1 per cell]
Te 0.860 0.161 0.366 [1 per cell]
O 0.019 0.816 0.170 [1 per cell]
O 0.078 0.334 0.367 [1 per cell]
O 0.126 0.783 0.772 [1 per cell]
O 0.257 0.321 0.104 [1 per cell]
O 0.292 0.064 0.385 [1 per cell]
O 0.292 0.784 0.452 [1 per cell]
O 0.320 0.253 0.673 [1 per cell]
O 0.338 0.020 0.005 [1 per cell]
O 0.342 0.554 0.657 [1 per cell]
O 0.487 0.960 0.757 [1 per cell]
O 0.516 0.565 0.334 [1 per cell]
O 0.589 0.467 0.885 [1 per cell]
O 0.615 0.959 0.390 [1 per cell]
O 0.699 0.280 0.371 [1 per cell]
O 0.733 0.543 0.633 [1 per cell]
O 0.745 0.775 0.859 [1 per cell]
O 0.823 0.125 0.159 [1 per cell]
O 0.852 0.271 0.945 [1 per cell]
O 0.867 0.509 0.211 [1 per cell]
O 0.900 0.767 0.440 [1 per cell]
O 0.918 0.048 0.737 [1 per cell]
O 0.999 0.356 0.696 [1 per cell]

Main lines, low angle first (10 to 80 degrees two-theta):
- 19.91 deg, d = 4.458 Å, I = 24
- 24.71 deg, d = 3.603 Å, I = 30
- 26.64 deg, d = 3.346 Å, I = 100
- 27.94 deg, d = 3.193 Å, I = 46
- 28.49 deg, d = 3.133 Å, I = 75
- 28.89 deg, d = 3.090 Å, I = 76
- 29.11 deg, d = 3.067 Å, I = 53
- 32.54 deg, d = 2.752 Å, I = 16
- 38.29 deg, d = 2.351 Å, I = 24
- 40.49 deg, d = 2.228 Å, I = 23
- 41.10 deg, d = 2.196 Å, I = 16
- 50.57 deg, d = 1.805 Å, I = 15


Record 2
The following is a computed powder diffraction line list of B. It was derived from a DFT-relaxed cell (PBE, the Materials Project), using Cu Kα X-rays.

Structure:
Cell lengths 8.675, 8.675, 4.972 Å; angles 90.00, 90.00, 90.00 degrees
Space group P4_2/nnm (No. 134, origin choice 2)
Inequivalent atoms, fractional coordinates:
B 0.006 0.506 0.173 [8 per cell]
B 0.023 0.667 0.661 [16 per cell]
B 0.079 0.166 0.844 [16 per cell]
B 0.125 0.625 0.367 [8 per cell]

Main lines, low angle first (10 to 80 degrees two-theta):
- 20.48 deg, d = 4.337 Å, I = 100
- 23.03 deg, d = 3.863 Å, I = 48
- 36.13 deg, d = 2.486 Å, I = 18
- 37.44 deg, d = 2.402 Å, I = 55
- 41.70 deg, d = 2.166 Å, I = 9
- 46.89 deg, d = 1.938 Å, I = 13
- 65.62 deg, d = 1.423 Å, I = 10
- 65.84 deg, d = 1.419 Å, I = 23
- 68.41 deg, d = 1.371 Å, I = 17
- 69.54 deg, d = 1.352 Å, I = 16
- 72.28 deg, d = 1.307 Å, I = 10
- 73.56 deg, d = 1.288 Å, I = 7